Simulated PXRD pattern of Li3SiSbCO7 for Cu Kα X-rays, from a crystal structure in Alexandria, relaxed with PBE.
No peak broadening, texture or thermal motion is included.

```
26
Lattice="5.0934 0.0000 0.0000 0.0000 6.8585 0.0000 -1.3596 0.0000 9.0429" Properties=species:S:1:pos:R:3 pbc="T T T"
Li 0.5194 0.3526 2.6029
Li 0.5194 3.0767 2.6029
Li 0.0357 5.1438 7.8747
Li 3.6981 1.7146 1.1682
Li 3.2144 3.7818 6.4400
Li 3.2144 6.5059 6.4400
Si 0.6880 5.1438 5.3027
Si 3.0458 1.7146 3.7402
Sb 0.4482 1.7146 6.1246
Sb 3.2856 5.1438 2.9182
C -0.2030 1.7146 8.9384
C 3.9368 5.1438 0.1044
O -0.9247 1.7146 7.8188
O 0.0908 5.1438 3.7541
O 0.5222 1.7146 1.0238
O 0.0964 3.8833 6.1955
O 0.0964 6.4043 6.1955
O 1.4068 1.7146 3.8086
O 1.0651 1.7146 8.8432
O 2.6687 5.1438 0.1996
O 2.3270 5.1438 5.2343
O 3.6374 0.4541 2.8474
O 3.6374 2.9751 2.8474
O 3.2116 5.1438 8.0190
O 3.6430 1.7146 5.2888
O 4.6585 5.1438 1.2241
```

Largest 6 diffraction maxima, in order of rising 2θ, 15° ≤ 2θ ≤ 90°:
2θ = 16.2°, I 72; 2θ = 18.8°, I 62; 2θ = 21.4°, I 70; 2θ = 21.9°, I 70; 2θ = 26.0°, I 100; 2θ = 34.9°, I 36

***

Simulated PXRD pattern of Li3SmC4O12 for Cu Kα X-rays, from a crystal structure in Alexandria, relaxed with PBE.
No peak broadening, texture or thermal motion is included.

```
20
Lattice="4.8101 2.7771 2.7241 -4.8101 2.7771 2.7241 0.0000 -5.5542 2.7241" Properties=species:S:1:pos:R:3 pbc="T T T"
Li -2.6427 -0.9769 2.7241
Li 2.1674 -1.8002 2.7241
Li 0.4754 2.7771 2.7241
Sm 0.0000 0.0000 0.0000
C -2.1813 -3.7781 4.0861
C 0.0000 0.0000 4.0861
C -2.1813 3.7781 4.0861
C 4.3626 0.0000 4.0861
O -2.8518 -2.6689 4.0520
O -3.9758 0.0000 4.0861
O -0.8855 -3.8042 4.1203
O -1.2799 0.0000 4.0861
O -2.8518 2.6689 4.1203
O 1.9879 -3.4431 4.0861
O 0.6399 -1.1084 4.0861
O -0.8855 3.8042 4.0520
O 0.6399 1.1084 4.0861
O 3.7373 -1.1353 4.0520
O 1.9879 3.4431 4.0861
O 3.7373 1.1353 4.1202
```

Largest 6 diffraction maxima, in order of rising 2θ, 15° ≤ 2θ ≤ 90°:
2θ = 15.2°, I 100; 2θ = 18.4°, I 59; 2θ = 24.3°, I 37; 2θ = 30.6°, I 63; 2θ = 36.0°, I 38; 2θ = 40.6°, I 35

***

Simulated PXRD pattern of SrLiC2O6 for Cu Kα X-rays, from a crystal structure in Alexandria, relaxed with PBE.
No peak broadening, texture or thermal motion is included.

```
10
Lattice="2.5165 1.4529 5.6595 -2.5165 1.4529 5.6595 0.0000 -2.9058 5.6595" Properties=species:S:1:pos:R:3 pbc="T T T"
Sr 0.0000 0.0000 0.0000
Li 0.0000 0.0000 8.4892
C 0.0000 0.0000 4.1221
C 0.0000 0.0000 12.8563
O -1.2428 -1.2474 7.1776
O -1.7017 0.4526 9.8008
O 0.4589 -1.7000 9.8008
O -0.4589 1.7000 7.1776
O 1.7017 -0.4526 7.1776
O 1.2428 1.2474 9.8008
```

Largest 6 diffraction maxima, in order of rising 2θ, 15° ≤ 2θ ≤ 90°:
2θ = 15.7°, I 30; 2θ = 21.0°, I 57; 2θ = 29.4°, I 100; 2θ = 33.5°, I 34; 2θ = 39.2°, I 43; 2θ = 48.4°, I 25

***

> Which formula does entry 3 have?

SrLiC2O6